Simulated powder XRD pattern of MgZnNi4O8 for Cu Kα X-rays, from a GGA+U-relaxed structure.
Neutral-atom scattering factors, no anomalous dispersion.

Structure:
```
data_MgZnNi4O8
_chemical_formula_sum 'Mg1 Zn1 Ni4 O8'
_cell_length_a 5.180
_cell_length_b 5.784
_cell_length_c 5.870
_cell_angle_alpha 60.52
_cell_angle_beta 73.97
_cell_angle_gamma 89.79
_symmetry_space_group_name_H-M 'P 1'
_symmetry_Int_Tables_number 1
loop_
_symmetry_equiv_pos_as_xyz
'x,y,z'
loop_
_atom_site_label
_atom_site_fract_x
_atom_site_fract_y
_atom_site_fract_z
Mg1 0.000 0.000 0.000
Zn1 0.000 0.499 0.002
Ni1 0.495 0.749 0.502
Ni2 0.500 0.250 0.000
Ni3 0.500 0.751 0.000
Ni4 0.504 0.251 0.499
O1 0.275 0.361 0.774
O2 0.276 0.866 0.773
O3 0.295 0.897 0.207
O4 0.299 0.398 0.207
O5 0.701 0.603 0.792
O6 0.705 0.104 0.792
O7 0.724 0.134 0.228
O8 0.725 0.639 0.227
```

Principal peaks in the range 2θ = 5–70°, by intensity:
hkl, 2θ (°), d (Å), intensity
1 2 0, 43.34, 2.088, 100.0
1 0 0, 18.05, 4.916, 86.5
-1 2 2, 43.47, 2.082, 49.8
1 2 2, 37.85, 2.377, 35.5
0 0 1, 18.29, 4.849, 34.9
1 2 4, 63.38, 1.468, 27.0
0 2 2, 36.16, 2.484, 21.4
2 0 0, 36.56, 2.458, 21.3
0 0 2, 37.08, 2.425, 20.2
3 2 2, 62.57, 1.485, 13.9

Simulated powder XRD pattern of MgZn2Ni4O8 for Cu Kα X-rays, from a GGA+U-relaxed structure.
Neutral-atom scattering factors, no anomalous dispersion.

Structure:
```
data_MgZn2Ni4O8
_chemical_formula_sum 'Mg1 Zn2 Ni4 O8'
_cell_length_a 5.837
_cell_length_b 6.007
_cell_length_c 6.226
_cell_angle_alpha 61.49
_cell_angle_beta 62.40
_cell_angle_gamma 89.95
_symmetry_space_group_name_H-M 'P 1'
_symmetry_Int_Tables_number 1
loop_
_symmetry_equiv_pos_as_xyz
'x,y,z'
loop_
_atom_site_label
_atom_site_fract_x
_atom_site_fract_y
_atom_site_fract_z
Mg1 0.000 0.000 0.000
Zn1 0.061 0.571 0.885
Zn2 0.715 0.729 0.554
Ni1 0.413 0.162 0.181
Ni2 0.413 0.675 0.181
Ni3 0.472 0.211 0.600
Ni4 0.942 0.221 0.582
O1 0.154 0.883 0.234
O2 0.170 0.385 0.676
O3 0.181 0.968 0.655
O4 0.198 0.442 0.161
O5 0.616 0.882 0.236
O6 0.640 0.360 0.725
O7 0.648 0.942 0.710
O8 0.649 0.438 0.168
```

Principal peaks in the range 2θ = 5–70°, by intensity:
hkl, 2θ (°), d (Å), intensity
2 -1 0, 35.46, 2.531, 100.0
1 0 -1, 32.60, 2.747, 89.8
1 0 2, 32.82, 2.729, 84.5
1 2 2, 35.02, 2.562, 82.9
1 -2 0, 34.89, 2.571, 78.6
2 1 2, 35.60, 2.522, 68.6
0 0 2, 38.73, 2.325, 43.9
-2 2 2, 59.43, 1.555, 41.0
0 2 1, 29.75, 3.004, 38.5
4 0 2, 63.79, 1.459, 38.4

Simulated powder XRD pattern of MgZn2Ni3O8 for Cu Kα X-rays, from a GGA+U-relaxed structure.
Neutral-atom scattering factors, no anomalous dispersion.

Structure:
```
data_MgZn2Ni3O8
_chemical_formula_sum 'Mg2 Zn4 Ni6 O16'
_cell_length_a 9.946
_cell_length_b 5.766
_cell_length_c 5.305
_cell_angle_alpha 90.00
_cell_angle_beta 98.05
_cell_angle_gamma 90.00
_symmetry_space_group_name_H-M 'C 1 m 1'
_symmetry_Int_Tables_number 8
loop_
_symmetry_equiv_pos_as_xyz
'x,y,z'
'x,-y,z'
'x+1/2,y+1/2,z'
'x+1/2,-y+1/2,z'
loop_
_atom_site_label
_atom_site_fract_x
_atom_site_fract_y
_atom_site_fract_z
Mg1 0.000 0.000 0.000
Zn1 0.047 0.000 0.487
Zn2 0.078 0.500 0.134
Ni1 0.279 0.249 0.721
Ni2 0.289 0.000 0.219
O1 0.166 0.224 0.336
O2 0.173 0.000 0.848
O3 0.175 0.500 0.822
O4 0.373 0.000 0.585
O5 0.393 0.500 0.649
O6 0.405 0.219 0.084
```

Principal peaks in the range 2θ = 5–70°, by intensity:
hkl, 2θ (°), d (Å), intensity
1 1 1, 25.51, 3.491, 100.0
4 2 -1, 49.95, 1.826, 77.1
2 0 2, 41.16, 2.193, 65.2
2 2 0, 36.10, 2.488, 62.8
4 0 0, 36.47, 2.464, 54.4
3 1 -1, 33.88, 2.646, 54.2
2 2 -1, 38.94, 2.313, 51.4
2 0 -1, 22.96, 3.873, 42.2
0 2 1, 35.52, 2.527, 38.3
1 1 0, 17.83, 4.976, 34.9

Simulated powder XRD pattern of MgZn2Ni4O8 for Cu Kα X-rays, from a GGA+U-relaxed structure.
Neutral-atom scattering factors, no anomalous dispersion.

Structure:
```
data_MgZn2Ni4O8
_chemical_formula_sum 'Mg1 Zn2 Ni4 O8'
_cell_length_a 5.838
_cell_length_b 5.849
_cell_length_c 6.224
_cell_angle_alpha 90.03
_cell_angle_beta 117.83
_cell_angle_gamma 119.92
_symmetry_space_group_name_H-M 'P 1'
_symmetry_Int_Tables_number 1
loop_
_symmetry_equiv_pos_as_xyz
'x,y,z'
loop_
_atom_site_label
_atom_site_fract_x
_atom_site_fract_y
_atom_site_fract_z
Mg1 0.000 0.000 0.000
Zn1 0.688 0.841 0.537
Zn2 0.998 0.496 0.501
Ni1 0.000 0.499 0.002
Ni2 0.299 0.143 0.460
Ni3 0.500 0.499 0.002
Ni4 0.501 0.001 0.002
O1 0.012 0.256 0.767
O2 0.012 0.756 0.765
O3 0.451 0.724 0.180
O4 0.489 0.242 0.239
O5 0.508 0.755 0.765
O6 0.551 0.277 0.823
O7 0.987 0.743 0.234
O8 0.990 0.242 0.238
```

Principal peaks in the range 2θ = 5–70°, by intensity:
hkl, 2θ (°), d (Å), intensity
1 -2 1, 35.13, 2.555, 100.0
2 0 -1, 35.93, 2.499, 63.3
1 1 -1, 30.59, 2.923, 57.8
0 2 -2, 42.45, 2.129, 52.1
1 1 -2, 35.21, 2.549, 50.3
0 0 2, 34.21, 2.621, 43.3
2 -4 0, 63.63, 1.462, 43.0
-2 2 2, 42.52, 2.126, 25.7
-2 2 3, 54.66, 1.679, 23.7
-4 2 2, 63.77, 1.460, 21.6

Simulated powder XRD pattern of MgZnNi4O8 for Cu Kα X-rays, from a GGA+U-relaxed structure.
Neutral-atom scattering factors, no anomalous dispersion.

Structure:
```
data_MgZnNi4O8
_chemical_formula_sum 'Mg1 Zn1 Ni4 O8'
_cell_length_a 5.687
_cell_length_b 5.898
_cell_length_c 5.983
_cell_angle_alpha 61.67
_cell_angle_beta 89.94
_cell_angle_gamma 61.18
_symmetry_space_group_name_H-M 'P 1'
_symmetry_Int_Tables_number 1
loop_
_symmetry_equiv_pos_as_xyz
'x,y,z'
loop_
_atom_site_label
_atom_site_fract_x
_atom_site_fract_y
_atom_site_fract_z
Mg1 0.000 0.000 0.000
Zn1 0.342 0.318 0.061
Ni1 0.347 0.814 0.576
Ni2 0.351 0.301 0.573
Ni3 0.807 0.390 0.486
Ni4 0.842 0.814 0.576
O1 0.098 0.805 0.790
O2 0.099 0.317 0.790
O3 0.127 0.747 0.389
O4 0.128 0.296 0.348
O5 0.565 0.874 0.761
O6 0.580 0.296 0.348
O7 0.586 0.317 0.790
O8 0.589 0.826 0.359
```

Principal peaks in the range 2θ = 5–70°, by intensity:
hkl, 2θ (°), d (Å), intensity
0 0 1, 17.63, 5.032, 100.0
2 0 -2, 43.95, 2.060, 83.0
0 2 0, 41.56, 2.173, 47.7
2 2 1, 36.68, 2.450, 30.6
-2 2 2, 63.15, 1.472, 30.6
0 2 1, 35.04, 2.561, 30.2
2 0 0, 37.81, 2.379, 27.1
1 1 0, 18.65, 4.759, 25.2
2 0 2, 61.01, 1.519, 22.9
0 0 2, 35.69, 2.516, 20.4

Simulated powder XRD pattern of MgZnNi4O8 for Cu Kα X-rays, from a GGA+U-relaxed structure.
Neutral-atom scattering factors, no anomalous dispersion.

Structure:
```
data_MgZnNi4O8
_chemical_formula_sum 'Mg1 Zn1 Ni4 O8'
_cell_length_a 2.901
_cell_length_b 7.208
_cell_length_c 8.014
_cell_angle_alpha 106.38
_cell_angle_beta 100.37
_cell_angle_gamma 101.57
_symmetry_space_group_name_H-M 'P 1'
_symmetry_Int_Tables_number 1
loop_
_symmetry_equiv_pos_as_xyz
'x,y,z'
loop_
_atom_site_label
_atom_site_fract_x
_atom_site_fract_y
_atom_site_fract_z
Mg1 0.000 0.000 0.000
Zn1 0.437 0.188 0.688
Ni1 0.129 0.611 0.655
Ni2 0.258 0.173 0.347
Ni3 0.573 0.806 0.344
Ni4 0.727 0.394 0.061
O1 0.043 0.874 0.213
O2 0.057 0.233 0.881
O3 0.113 0.755 0.475
O4 0.365 0.547 0.186
O5 0.493 0.426 0.566
O6 0.662 0.169 0.158
O7 0.771 0.761 0.790
O8 0.786 0.082 0.494
```

Principal peaks in the range 2θ = 5–70°, by intensity:
hkl, 2θ (°), d (Å), intensity
1 1 -1, 36.38, 2.469, 100.0
-1 2 3, 52.76, 1.735, 79.9
0 2 -2, 29.49, 3.029, 75.0
0 1 -2, 23.22, 3.831, 52.0
1 1 -4, 51.78, 1.766, 52.0
0 0 1, 11.89, 7.442, 51.6
0 2 1, 32.87, 2.725, 44.1
-1 1 2, 37.63, 2.390, 41.4
0 3 -1, 38.25, 2.353, 36.1
1 -1 2, 42.46, 2.129, 36.0

Simulated powder XRD pattern of MgV2P2O10 for Cu Kα X-rays, from a GGA+U-relaxed structure.
Neutral-atom scattering factors, no anomalous dispersion.

Structure:
```
data_MgV2P2O10
_chemical_formula_sum 'Mg2 V4 P4 O20'
_cell_length_a 8.916
_cell_length_b 6.458
_cell_length_c 6.446
_cell_angle_alpha 90.00
_cell_angle_beta 101.11
_cell_angle_gamma 90.00
_symmetry_space_group_name_H-M 'C 1 2/m 1'
_symmetry_Int_Tables_number 12
loop_
_symmetry_equiv_pos_as_xyz
'x,y,z'
'-x,-y,-z'
'-x,y,-z'
'x,-y,z'
'x+1/2,y+1/2,z'
'-x+1/2,-y+1/2,-z'
'-x+1/2,y+1/2,-z'
'x+1/2,-y+1/2,z'
loop_
_atom_site_label
_atom_site_fract_x
_atom_site_fract_y
_atom_site_fract_z
Mg1 0.000 0.000 0.000
V1 0.172 0.500 0.208
P1 0.227 0.500 0.736
O1 0.099 0.500 0.873
O2 0.143 0.000 0.788
O3 0.154 0.500 0.503
O4 0.159 0.185 0.197
```

Principal peaks in the range 2θ = 5–70°, by intensity:
hkl, 2θ (°), d (Å), intensity
0 2 0, 27.63, 3.229, 100.0
2 0 0, 20.30, 4.375, 62.5
0 0 2, 28.22, 3.162, 47.6
0 0 1, 14.00, 6.325, 40.1
2 0 -2, 31.56, 2.835, 39.9
3 1 0, 33.72, 2.658, 35.9
2 0 -1, 22.37, 3.974, 23.9
3 3 0, 52.86, 1.732, 22.7
1 1 0, 17.07, 5.196, 20.2
0 4 0, 57.04, 1.614, 13.6

Simulated powder XRD pattern of MgV2P2O10 for Cu Kα X-rays, from a GGA+U-relaxed structure.
Neutral-atom scattering factors, no anomalous dispersion.

Structure:
```
data_MgV2P2O10
_chemical_formula_sum 'Mg8 V16 P16 O80'
_cell_length_a 11.355
_cell_length_b 16.107
_cell_length_c 7.219
_cell_angle_alpha 90.00
_cell_angle_beta 90.00
_cell_angle_gamma 90.00
_symmetry_space_group_name_H-M 'F d d 2'
_symmetry_Int_Tables_number 43
_symmetry_space_group_name_Hall 'F 2 -2d'
loop_
_atom_site_label
_atom_site_fract_x
_atom_site_fract_y
_atom_site_fract_z
Mg1 0.000 0.000 0.000
V1 0.116 0.120 0.612
P1 0.000 0.208 0.993
O1 0.002 0.417 0.991
O2 0.014 0.147 0.829
O3 0.015 0.348 0.664
O4 0.110 0.235 0.460
O5 0.111 0.264 0.023
```

Principal peaks in the range 2θ = 5–70°, by intensity:
hkl, 2θ (°), d (Å), intensity
1 5 1, 31.42, 2.847, 100.0
3 1 1, 27.17, 3.282, 24.7
2 0 2, 29.32, 3.046, 18.2
0 8 0, 45.01, 2.014, 18.1
3 5 3, 53.33, 1.718, 15.0
1 1 1, 15.55, 5.698, 13.7
4 8 0, 56.02, 1.642, 12.8
2 4 2, 37.01, 2.429, 11.8
0 4 0, 22.07, 4.027, 11.6
2 2 0, 19.13, 4.640, 10.9